Record 1
For LaMg9Cu3, a cell relaxed with GGA-PBE gives the simulated PXRD pattern in this record (Cu Ka).

Atomic structure:
Cell lengths 7.5495, 7.5495, 7.4119 Å; angles 97.14, 97.14, 137.85 degrees
Positions (direct):
La: 0.0000 0.0000 0.0000
Mg: 0.0000 0.0000 0.5000
Mg: 0.0150 0.6567 0.6654
Mg: 0.2952 0.5183 0.7889
Mg: 0.3433 0.9850 0.3346
Mg: 0.4817 0.7048 0.2111
Mg: 0.5183 0.2952 0.7889
Mg: 0.6567 0.0150 0.6654
Mg: 0.7048 0.4817 0.2111
Mg: 0.9850 0.3433 0.3346
Cu: 0.0000 0.5000 0.0000
Cu: 0.5000 0.0000 0.0000
Cu: 0.5000 0.5000 0.5000

Most intense lines, 10 to 80 degrees two-theta, most intense first:
two_theta, I/Imax
36.3, 100
37.5, 69
38.1, 67
12.7, 65
18.8, 48
31.5, 47
36.6, 38
36.5, 38

***

Record 2
For La3Mg4Cu4, a cell relaxed with GGA-PBE gives the simulated PXRD pattern in this record (Cu Ka).

Atomic structure:
Cell lengths 8.8513, 8.8513, 8.8513 Å; angles 153.77, 124.50, 62.39 degrees
Positions (direct):
La: 0.0000 0.0000 0.0000
La: 0.3865 0.8865 0.5000
La: 0.6135 0.1135 0.5000
Mg: 0.0130 0.3248 0.6882
Mg: 0.3635 0.6752 0.6882
Mg: 0.6365 0.3248 0.3118
Mg: 0.9870 0.6752 0.3118
Cu: 0.2344 0.2344 0.0000
Cu: 0.2989 0.5000 0.7989
Cu: 0.7011 0.5000 0.2011
Cu: 0.7656 0.7656 0.0000

Most intense lines, 10 to 80 degrees two-theta, most intense first:
two_theta, I/Imax
34.3, 100
31.7, 93
31.5, 36
37.2, 32
21.6, 31
45.1, 21
66.0, 21
46.7, 20

***

Record 3
For La12MgCu5, a cell relaxed with GGA-PBE gives the simulated PXRD pattern in this record (Cu Ka).

Atomic structure:
Cell lengths 8.9020, 8.9020, 8.9020 Å; angles 112.48, 110.37, 105.63 degrees
Positions (direct):
La: 0.0441 0.2322 0.8120
La: 0.1752 0.2758 0.4511
La: 0.1752 0.7242 0.8994
La: 0.3225 0.0171 0.6946
La: 0.3225 0.6278 0.3054
La: 0.4202 0.2322 0.1880
La: 0.5798 0.7678 0.8120
La: 0.6775 0.3722 0.6946
La: 0.6775 0.9829 0.3054
La: 0.8248 0.2758 0.1006
La: 0.8248 0.7242 0.5489
La: 0.9559 0.7678 0.1880
Mg: 0.5000 0.5000 0.0000
Cu: 0.0000 0.0000 0.0000
Cu: 0.1176 0.6176 0.5000
Cu: 0.3591 0.0000 0.3591
Cu: 0.6409 0.0000 0.6409
Cu: 0.8824 0.3824 0.5000

Most intense lines, 10 to 80 degrees two-theta, most intense first:
two_theta, I/Imax
30.2, 100
33.1, 73
32.5, 63
32.1, 58
56.5, 32
36.3, 31
26.4, 26
28.5, 25

***

Record 4
For LaMgCuN2, a cell relaxed with GGA-PBE gives the simulated PXRD pattern in this record (Cu Ka).

Atomic structure:
Cell lengths 5.7708, 4.1941, 6.1896 Å; angles 90.00, 101.48, 90.00 degrees
Positions (direct):
La: 0.0000 0.2418 0.2500
La: 0.0000 0.7582 0.7500
Mg: 0.5000 0.4771 0.7500
Mg: 0.5000 0.5229 0.2500
Cu: 0.5000 0.0000 0.0000
Cu: 0.5000 0.0000 0.5000
N: 0.2525 0.3059 0.9593
N: 0.2525 0.6941 0.4593
N: 0.7475 0.3059 0.5407
N: 0.7475 0.6941 0.0407

Most intense lines, 10 to 80 degrees two-theta, most intense first:
two_theta, I/Imax
31.9, 100
25.8, 99
31.6, 77
30.5, 77
46.2, 68
28.7, 62
38.8, 41
66.7, 38

***

Record 5
For LaMgSc2Cu4, a cell relaxed with GGA-PBE gives the simulated PXRD pattern in this record (Cu Ka).

Atomic structure:
Cell lengths 8.8676, 8.8676, 8.8676 Å; angles 30.03, 30.03, 30.03 degrees
Positions (direct):
La: 0.0000 0.0000 0.0000
Mg: 0.5000 0.5000 0.5000
Sc: 0.2352 0.2352 0.2352
Sc: 0.7648 0.7648 0.7648
Cu: 0.1208 0.1208 0.1208
Cu: 0.3998 0.3998 0.3998
Cu: 0.6002 0.6002 0.6002
Cu: 0.8792 0.8792 0.8792

Most intense lines, 10 to 80 degrees two-theta, most intense first:
two_theta, I/Imax
39.2, 100
36.2, 75
28.5, 27
42.2, 23
54.4, 22
23.4, 21
69.1, 20
33.4, 17

***

Record 6
For LaSmMgCu, a cell relaxed with GGA-PBE gives the simulated PXRD pattern in this record (Cu Ka).

Atomic structure:
Cell lengths 5.3204, 5.3204, 5.3204 Å; angles 60.00, 60.00, 60.00 degrees
Positions (direct):
La: 0.0000 0.0000 0.0000
Sm: 0.5000 0.5000 0.5000
Mg: 0.7500 0.7500 0.7500
Cu: 0.2500 0.2500 0.2500

Most intense lines, 10 to 80 degrees two-theta, most intense first:
two_theta, I/Imax
33.7, 100
60.3, 37
23.6, 31
48.4, 18
54.5, 13
70.8, 11
41.6, 9
75.9, 6

***

Record 7
For LaMnCu, a cell relaxed with GGA-PBE gives the simulated PXRD pattern in this record (Cu Ka).

Atomic structure:
Cell lengths 5.6223, 5.6223, 7.1454 Å; angles 124.26, 124.26, 45.33 degrees
Positions (direct):
La: 0.0597 0.0597 0.2948
La: 0.9403 0.9403 0.7052
Mn: 0.3051 0.3051 0.9097
Mn: 0.6949 0.6949 0.0903
Cu: 0.3537 0.3537 0.3065
Cu: 0.6463 0.6463 0.6935

Most intense lines, 10 to 80 degrees two-theta, most intense first:
two_theta, I/Imax
33.6, 100
33.4, 69
31.7, 69
38.9, 52
41.7, 50
35.2, 42
40.6, 34
23.2, 29

***

Record 8
For LaZrMn2Cu, a cell relaxed with GGA-PBE gives the simulated PXRD pattern in this record (Cu Ka).

Atomic structure:
Cell lengths 4.5772, 4.5772, 4.9270 Å; angles 90.00, 90.00, 90.00 degrees
Positions (direct):
La: 0.0000 0.0000 0.0000
Zr: 0.5000 0.5000 0.0000
Mn: 0.0000 0.5000 0.5000
Mn: 0.5000 0.0000 0.5000
Cu: 0.0000 0.0000 0.5000

Most intense lines, 10 to 80 degrees two-theta, most intense first:
two_theta, I/Imax
33.1, 100
39.4, 70
54.7, 52
36.5, 44
27.6, 38
19.4, 32
69.5, 24
67.4, 24